Structure and calculated powder diffraction line list of Pm2VMoO6 (a structure optimized by DFT (GGA+U); Cu Kα (λ = 1.5418 Å)).
Peak positions follow from Bragg's law for the DFT cell and can differ from measured ones.

Atomic structure:
Lattice parameters (Å, degrees): 5.514 5.878 9.637 90.00 124.60 90.00
Sites, in units of the cell vectors:
Pm 0.231 0.063 0.251
Pm 0.231 0.437 0.751
Pm 0.769 0.563 0.249
Pm 0.769 0.937 0.749
V 0.000 0.000 0.500
V 0.000 0.500 0.000
Mo 0.500 0.000 0.000
Mo 0.500 0.500 0.500
O 0.125 0.200 0.937
O 0.125 0.300 0.437
O 0.246 0.691 0.945
O 0.246 0.809 0.445
O 0.356 0.047 0.742
O 0.356 0.453 0.242
O 0.644 0.547 0.758
O 0.644 0.953 0.258
O 0.754 0.191 0.555
O 0.754 0.309 0.055
O 0.875 0.700 0.563
O 0.875 0.800 0.063

Most intense lines, 2θ from 10° to 90°, low angle first:
- 24.82°, I = 314
- 30.42°, I = 404
- 31.63°, I = 997
- 31.75°, I = 1000
- 32.48°, I = 659
- 45.09°, I = 370
- 45.75°, I = 271
- 46.60°, I = 205
- 50.78°, I = 305
- 55.94°, I = 179
- 57.34°, I = 322
- 57.54°, I = 257